No. 1
# MoSeS
Computed powder diffractogram, Cu Kα (weighted mean of Kα1 and Kα2). Input: a cell relaxed with GGA-PBE.

Structure:
a b c (Å): 3.250 23.699 5.622
angles (deg): 90.00 90.00 90.00
Atoms (fractional coordinates):
1 Mo 0.000 0.000 0.000
2 Mo 0.000 0.500 0.488
3 Mo 0.500 0.000 0.488
4 Mo 0.500 0.500 0.000
5 Se 0.000 0.429 0.827
6 Se 0.000 0.571 0.827
7 Se 0.500 0.071 0.827
8 Se 0.500 0.929 0.827
9 S 0.000 0.066 0.328
10 S 0.000 0.934 0.328
11 S 0.500 0.434 0.328
12 S 0.500 0.566 0.328

The 8 most intense peaks (2θ = 15–90°), sorted by position:
2θ 32.03, I = 65.1; 2θ 33.82, I = 42.5; 2θ 37.16, I = 86.4; 2θ 39.34, I = 52.0; 2θ 41.74, I = 100.0; 2θ 44.43, I = 38.6; 2θ 47.28, I = 48.2; 2θ 56.84, I = 48.4

***

No. 2
# Mo2Se3S
Computed powder diffractogram, Cu Kα (weighted mean of Kα1 and Kα2). Input: a cell relaxed with GGA-PBE.

Structure:
a b c (Å): 3.289 3.289 13.313
angles (deg): 90.00 90.00 120.00
Atoms (fractional coordinates):
1 Mo 0.000 0.000 0.000
2 Mo 0.333 0.667 0.505
3 Se 0.000 0.000 0.377
4 Se 0.333 0.667 0.127
5 Se 0.333 0.667 0.873
6 S 0.000 0.000 0.619

The 8 most intense peaks (2θ = 15–90°), sorted by position:
2θ 31.41, I = 40.6; 2θ 34.24, I = 13.9; 2θ 37.52, I = 100.0; 2θ 46.70, I = 52.5; 2θ 55.92, I = 29.1; 2θ 69.30, I = 15.8; 2θ 75.75, I = 12.3; 2θ 82.46, I = 18.8

***

No. 3
# MoSeS
Computed powder diffractogram, Cu Kα (weighted mean of Kα1 and Kα2). Input: a cell relaxed with GGA-PBE.

Structure:
a b c (Å): 3.253 3.253 19.463
angles (deg): 90.00 90.00 120.00
Atoms (fractional coordinates):
1 Mo 0.000 0.000 0.000
2 Mo 0.333 0.667 0.667
3 Mo 0.667 0.333 0.333
4 Se 0.000 0.000 0.754
5 Se 0.333 0.667 0.421
6 Se 0.667 0.333 0.088
7 S 0.000 0.000 0.588
8 S 0.333 0.667 0.255
9 S 0.667 0.333 0.922

The 8 most intense peaks (2θ = 15–90°), sorted by position:
2θ 32.10, I = 82.3; 2θ 36.87, I = 100.0; 2θ 39.48, I = 87.1; 2θ 45.85, I = 43.0; 2θ 49.50, I = 45.3; 2θ 56.58, I = 46.6; 2θ 58.50, I = 21.6; 2θ 84.32, I = 29.6

***

No. 4
# Tl3MoS4
Computed powder diffractogram, Cu Kα (weighted mean of Kα1 and Kα2). Input: a cell relaxed with GGA-PBE.

Structure:
a b c (Å): 7.690 7.690 7.690
angles (deg): 90.00 90.00 90.00
Atoms (fractional coordinates):
1 Tl 0.000 0.000 0.500
2 Tl 0.000 0.500 0.000
3 Tl 0.000 0.500 0.500
4 Tl 0.500 0.000 0.000
5 Tl 0.500 0.000 0.500
6 Tl 0.500 0.500 0.000
7 Mo 0.000 0.000 0.000
8 Mo 0.500 0.500 0.500
9 S 0.169 0.169 0.831
10 S 0.169 0.831 0.169
11 S 0.331 0.331 0.331
12 S 0.331 0.669 0.669
13 S 0.669 0.331 0.669
14 S 0.669 0.669 0.331
15 S 0.831 0.169 0.169
16 S 0.831 0.831 0.831

The 8 most intense peaks (2θ = 15–90°), sorted by position:
2θ 23.13, I = 87.4; 2θ 32.94, I = 100.0; 2θ 40.64, I = 32.7; 2θ 47.28, I = 14.1; 2θ 53.27, I = 50.8; 2θ 58.83, I = 33.8; 2θ 73.95, I = 23.6; 2θ 83.36, I = 14.6

***

No. 5
# Y3MoS
Computed powder diffractogram, Cu Kα (weighted mean of Kα1 and Kα2). Input: a cell relaxed with GGA-PBE.

Structure:
a b c (Å): 5.104 5.104 5.104
angles (deg): 90.00 90.00 90.00
Atoms (fractional coordinates):
1 Y 0.000 0.000 0.500
2 Y 0.000 0.500 0.000
3 Y 0.500 0.000 0.000
4 Mo 0.500 0.500 0.500
5 S 0.000 0.000 0.000

The 8 most intense peaks (2θ = 15–90°), sorted by position:
2θ 30.33, I = 100.0; 2θ 35.17, I = 71.8; 2θ 50.58, I = 49.0; 2θ 60.13, I = 41.0; 2θ 63.10, I = 16.4; 2θ 74.34, I = 7.5; 2θ 82.36, I = 16.4; 2θ 84.99, I = 21.5

***

No. 6
# Sb7Mo3
Computed powder diffractogram, Cu Kα (weighted mean of Kα1 and Kα2). Input: a cell relaxed with GGA-PBE.

Structure:
a b c (Å): 8.358 8.358 8.358
angles (deg): 109.47 109.47 109.47
Atoms (fractional coordinates):
1 Sb 0.000 0.000 0.322
2 Sb 0.000 0.000 0.678
3 Sb 0.000 0.322 0.000
4 Sb 0.000 0.678 0.000
5 Sb 0.250 0.500 0.750
6 Sb 0.250 0.750 0.500
7 Sb 0.322 0.000 0.000
8 Sb 0.322 0.322 0.322
9 Sb 0.500 0.250 0.750
10 Sb 0.500 0.750 0.250
11 Sb 0.678 0.000 0.000
12 Sb 0.678 0.678 0.678
13 Sb 0.750 0.250 0.500
14 Sb 0.750 0.500 0.250
15 Mo 0.000 0.342 0.342
16 Mo 0.000 0.658 0.658
17 Mo 0.342 0.000 0.342
18 Mo 0.342 0.342 0.000
19 Mo 0.658 0.000 0.658
20 Mo 0.658 0.658 0.000

The 8 most intense peaks (2θ = 15–90°), sorted by position:
2θ 29.26, I = 35.5; 2θ 32.13, I = 45.7; 2θ 34.78, I = 45.4; 2θ 39.62, I = 100.0; 2θ 46.08, I = 18.9; 2θ 57.28, I = 19.8; 2θ 71.89, I = 37.6; 2θ 80.93, I = 17.7

***

No. 7
# ScMo
Computed powder diffractogram, Cu Kα (weighted mean of Kα1 and Kα2). Input: a cell relaxed with GGA-PBE.

Structure:
a b c (Å): 2.949 2.949 4.873
angles (deg): 90.00 90.00 120.00
Atoms (fractional coordinates):
1 Sc 0.000 0.000 0.000
2 Mo 0.333 0.667 0.500

The 8 most intense peaks (2θ = 15–90°), sorted by position:
2θ 18.21, I = 21.2; 2θ 35.14, I = 32.5; 2θ 36.89, I = 26.6; 2θ 39.85, I = 100.0; 2θ 51.86, I = 20.5; 2θ 63.05, I = 15.3; 2θ 68.45, I = 18.8; 2θ 75.34, I = 18.0

***

No. 8
# ScTc2Mo
Computed powder diffractogram, Cu Kα (weighted mean of Kα1 and Kα2). Input: a cell relaxed with GGA-PBE.

Structure:
a b c (Å): 3.144 3.144 6.455
angles (deg): 90.00 90.00 90.00
Atoms (fractional coordinates):
1 Sc 0.000 0.000 0.000
2 Tc 0.500 0.500 0.266
3 Tc 0.500 0.500 0.734
4 Mo 0.000 0.000 0.500

The 8 most intense peaks (2θ = 15–90°), sorted by position:
2θ 40.04, I = 100.0; 2θ 40.58, I = 49.3; 2θ 51.46, I = 5.5; 2θ 57.07, I = 7.9; 2θ 58.74, I = 16.0; 2θ 72.36, I = 15.2; 2θ 73.47, I = 31.4; 2θ 86.42, I = 9.6

***

No. 9
# Mo9Se11
Computed powder diffractogram, Cu Kα (weighted mean of Kα1 and Kα2). Input: a cell relaxed with GGA-PBE.

Structure:
a b c (Å): 8.957 8.957 11.101
angles (deg): 90.00 90.00 95.28
Atoms (fractional coordinates):
1 Mo 0.018 0.600 0.629
2 Mo 0.018 0.600 0.871
3 Mo 0.147 0.853 0.750
4 Mo 0.194 0.427 0.750
5 Mo 0.323 0.677 0.628
6 Mo 0.323 0.677 0.872
7 Mo 0.400 0.982 0.629
8 Mo 0.400 0.982 0.871
9 Mo 0.427 0.194 0.250
10 Mo 0.573 0.806 0.750
11 Mo 0.600 0.018 0.129
12 Mo 0.600 0.018 0.371
13 Mo 0.677 0.323 0.128
14 Mo 0.677 0.323 0.372
15 Mo 0.806 0.573 0.250
16 Mo 0.853 0.147 0.250
17 Mo 0.982 0.400 0.129
18 Mo 0.982 0.400 0.371
19 Se 0.088 0.627 0.250
20 Se 0.135 0.218 0.250
21 Se 0.153 0.847 0.516
22 Se 0.153 0.847 0.984
23 Se 0.210 0.443 0.517
24 Se 0.210 0.443 0.983
25 Se 0.218 0.135 0.750
26 Se 0.373 0.912 0.250
27 Se 0.443 0.210 0.017
28 Se 0.443 0.210 0.483
29 Se 0.491 0.509 0.750
30 Se 0.509 0.491 0.250
31 Se 0.557 0.790 0.517
32 Se 0.557 0.790 0.983
33 Se 0.627 0.088 0.750
34 Se 0.782 0.865 0.250
35 Se 0.790 0.557 0.017
36 Se 0.790 0.557 0.483
37 Se 0.847 0.153 0.016
38 Se 0.847 0.153 0.484
39 Se 0.865 0.782 0.750
40 Se 0.912 0.373 0.750

The 8 most intense peaks (2θ = 15–90°), sorted by position:
2θ 28.21, I = 45.4; 2θ 31.45, I = 42.6; 2θ 38.80, I = 84.5; 2θ 40.80, I = 68.2; 2θ 44.48, I = 30.2; 2θ 44.67, I = 100.0; 2θ 45.07, I = 44.0; 2θ 45.64, I = 27.1

***

No. 10
# Mo9Se11
Computed powder diffractogram, Cu Kα (weighted mean of Kα1 and Kα2). Input: a cell relaxed with GGA-PBE.

Structure:
a b c (Å): 9.470 9.470 12.233
angles (deg): 90.00 90.00 120.00
Atoms (fractional coordinates):
1 Mo 0.159 0.643 0.061
2 Mo 0.159 0.643 0.439
3 Mo 0.177 0.496 0.250
4 Mo 0.319 0.823 0.250
5 Mo 0.357 0.516 0.061
6 Mo 0.357 0.516 0.439
7 Mo 0.484 0.841 0.061
8 Mo 0.484 0.841 0.439
9 Mo 0.496 0.319 0.750
10 Mo 0.504 0.681 0.250
11 Mo 0.516 0.159 0.561
12 Mo 0.516 0.159 0.939
13 Mo 0.643 0.484 0.561
14 Mo 0.643 0.484 0.939
15 Mo 0.681 0.177 0.750
16 Mo 0.823 0.504 0.750
17 Mo 0.841 0.357 0.561
18 Mo 0.841 0.357 0.939
19 Se 0.003 0.636 0.250
20 Se 0.039 0.330 0.078
21 Se 0.039 0.330 0.422
22 Se 0.292 0.961 0.078
23 Se 0.292 0.961 0.422
24 Se 0.330 0.292 0.578
25 Se 0.330 0.292 0.922
26 Se 0.333 0.667 0.603
27 Se 0.333 0.667 0.897
28 Se 0.364 0.367 0.250
29 Se 0.367 0.003 0.750
30 Se 0.633 0.997 0.250
31 Se 0.636 0.633 0.750
32 Se 0.667 0.333 0.103
33 Se 0.667 0.333 0.397
34 Se 0.670 0.708 0.078
35 Se 0.670 0.708 0.422
36 Se 0.708 0.039 0.578
37 Se 0.708 0.039 0.922
38 Se 0.961 0.670 0.578
39 Se 0.961 0.670 0.922
40 Se 0.997 0.364 0.750

The 8 most intense peaks (2θ = 15–90°), sorted by position:
2θ 28.90, I = 31.4; 2θ 29.73, I = 26.3; 2θ 32.38, I = 24.3; 2θ 36.41, I = 29.5; 2θ 38.39, I = 32.0; 2θ 42.40, I = 43.2; 2θ 44.24, I = 100.0; 2θ 44.43, I = 29.2